# MnAlGaO4
Computed X-ray diffraction stick pattern, Cu Kα. Input: a crystal structure in Alexandria, relaxed with GGA+U.
Peak positions follow from Bragg's law for the DFT cell and can differ from measured ones.

The 8 most intense peaks (2θ = 15–90°), most intense first:
2θ 34.44, 2.604 Å, rel. 100; 2θ 33.46, 2.678 Å, rel. 74; 2θ 30.25, 2.954 Å, rel. 60; 2θ 59.80, 1.547 Å, rel. 46; 2θ 23.12, 3.847 Å, rel. 23; 2θ 50.26, 1.815 Å, rel. 21; 2θ 55.82, 1.647 Å, rel. 21; 2θ 47.26, 1.923 Å, rel. 19

Atomic structure:
```
data_MnAlGaO4
_cell_length_a 5.9085
_cell_length_b 9.0126
_cell_length_c 6.1287
_cell_angle_alpha 90.00
_cell_angle_beta 90.00
_cell_angle_gamma 90.00
_space_group_name_H-M_alt 'C m c m'
_space_group_IT_number 63
_space_group_name_Hall '-C 2c 2'
loop_
_atom_site_label
_atom_site_fract_x
_atom_site_fract_y
_atom_site_fract_z
_atom_site_occupancy
Mn1 0.0000 0.0000 0.0000 1
Al1 0.0000 0.3542 0.2500 1
Ga1 0.0000 0.3492 0.7500 1
O1 0.0000 0.2455 0.0094 1
O2 0.2236 0.4937 0.2500 1
```